Simulated XRD peak list
Compound: CaPb3
Radiation: Cu Kα (λ = 1.5418 Å)
Structure: a DFT-relaxed cell (GGA-PBE, the Materials Project)
No peak broadening, texture or thermal motion is included.

Main lines, sorted by position (2θ = 10–80°):
17.9 deg, I 17, hkl 1 0 0; 25.4 deg, I 15, hkl 1 1 0; 31.2 deg, I 100, hkl 1 1 1; 36.2 deg, I 51, hkl 2 0 0; 40.7 deg, I 9, hkl 2 1 0; 44.7 deg, I 7, hkl 2 1 1; 52.1 deg, I 36, hkl 2 2 0; 62.0 deg, I 44, hkl 3 1 1; 65.1 deg, I 13, hkl 2 2 2; 76.8 deg, I 6, hkl 4 0 0

Cell and atoms:
Cell: 4.9627 4.9627 4.9627 Å, 90.00 90.00 90.00°
Positions (direct):
Ca (0.0000, 0.0000, 0.0000)
Pb (0.0000, 0.5000, 0.5000)
Pb (0.5000, 0.0000, 0.5000)
Pb (0.5000, 0.5000, 0.0000)